Diffraction record for Pr2Dy4Hg. The powder X-ray diffraction pattern is calculated, not measured: it uses a cell relaxed with GGA-PBE and Cu Kα.
No peak broadening, texture or thermal motion is included.

Crystal structure
```
data_Pr2Dy4Hg
_chemical_formula_sum 'Pr4 Dy8 Hg2'
_cell_length_a 17.120
_cell_length_b 3.641
_cell_length_c 8.105
_cell_angle_alpha 90.00
_cell_angle_beta 117.22
_cell_angle_gamma 90.00
_space_group_name_H-M_alt 'C 1 2/m 1'
_space_group_IT_number 12
loop_
_space_group_symop_operation_xyz
'x,y,z'
'-x,-y,-z'
'-x,y,-z'
'x,-y,z'
'x+1/2,y+1/2,z'
'-x+1/2,-y+1/2,-z'
'-x+1/2,y+1/2,-z'
'x+1/2,-y+1/2,z'
loop_
_atom_site_label
_atom_site_type_symbol
_atom_site_fract_x
_atom_site_fract_y
_atom_site_fract_z
Pr1 Pr 0.216 0.000 0.137
Dy1 Dy 0.058 0.500 0.740
Dy2 Dy 0.138 0.000 0.467
Hg1 Hg 0.000 0.000 0.000
```

Most intense lines, 2θ = 10–90°, by angle:
26.8°, d 3.322, intensity 28, (1 1 -1)
29.4°, d 3.036, intensity 32, (3 1 -1)
31.2°, d 2.867, intensity 65, (4 0 1)
32.6°, d 2.750, intensity 42, (6 0 -2)
33.6°, d 2.670, intensity 100, (2 0 -3)
36.0°, d 2.493, intensity 48, (5 1 -1)
55.3°, d 1.662, intensity 38, (7 1 -4)
60.2°, d 1.537, intensity 22, (4 2 1)

---

Diffraction record for TcI2O. The powder X-ray diffraction pattern is calculated, not measured: it uses a cell relaxed with GGA-PBE and Cu Kα.
No peak broadening, texture or thermal motion is included.

Crystal structure
```
data_TcI2O
_chemical_formula_sum 'Tc1 I2 O1'
_cell_length_a 3.759
_cell_length_b 4.103
_cell_length_c 8.052
_cell_angle_alpha 75.29
_cell_angle_beta 89.28
_cell_angle_gamma 90.00
_space_group_name_H-M_alt 'P -1'
_space_group_IT_number 2
loop_
_space_group_symop_operation_xyz
'x,y,z'
'-x,-y,-z'
loop_
_atom_site_label
_atom_site_type_symbol
_atom_site_fract_x
_atom_site_fract_y
_atom_site_fract_z
Tc1 Tc 0.000 0.000 0.000
I1 I 0.006 0.618 0.762
O1 O 0.500 0.000 0.000
```

Most intense lines, 2θ = 10–90°, by angle:
11.4°, d 7.787, intensity 95, (0 0 1)
23.7°, d 3.758, intensity 100, (1 0 0)
27.7°, d 3.219, intensity 90, (0 1 2)
36.2°, d 2.481, intensity 62, (0 1 -2)
36.6°, d 2.455, intensity 31, (1 1 2)
36.9°, d 2.435, intensity 34, (-1 1 2)
43.5°, d 2.081, intensity 31, (1 -1 2)
43.9°, d 2.061, intensity 28, (1 1 -2)

---

Diffraction record for PmCd9Pd2. The powder X-ray diffraction pattern is calculated, not measured: it uses a cell relaxed with GGA-PBE and Cu Kα.
No peak broadening, texture or thermal motion is included.

Crystal structure
```
data_PmCd9Pd2
_chemical_formula_sum 'Pm4 Cd36 Pd8'
_cell_length_a 11.723
_cell_length_b 11.723
_cell_length_c 7.543
_cell_angle_alpha 90.00
_cell_angle_beta 90.00
_cell_angle_gamma 90.00
_space_group_name_H-M_alt 'I 41/a m d'
_space_group_IT_number 141
loop_
_space_group_symop_operation_xyz
'x,y,z'
'-x,-y,-z'
'-y+1/4,x+3/4,z+1/4'
'y+1/4,-x+3/4,-z+1/4'
'-x+1/2,-y,z+1/2'
'x+1/2,y,-z+1/2'
'y+1/4,-x+1/4,z+3/4'
'-y+1/4,x+1/4,-z+3/4'
'x,-y,-z'
'-x,y,z'
'-y+1/4,-x+1/4,-z+3/4'
'y+1/4,x+1/4,z+3/4'
'-x+1/2,y,-z+1/2'
'x+1/2,-y,z+1/2'
'y+1/4,x+3/4,-z+1/4'
'-y+1/4,-x+3/4,z+1/4'
'x+1/2,y+1/2,z+1/2'
'-x+1/2,-y+1/2,-z+1/2'
'-y+3/4,x+1/4,z+3/4'
'y+3/4,-x+1/4,-z+3/4'
'-x,-y+1/2,z'
'x,y+1/2,-z'
'y+3/4,-x+3/4,z+1/4'
'-y+3/4,x+3/4,-z+1/4'
'x+1/2,-y+1/2,-z+1/2'
'-x+1/2,y+1/2,z+1/2'
'-y+3/4,-x+3/4,-z+1/4'
'y+3/4,x+3/4,z+1/4'
'-x,y+1/2,-z'
'x,-y+1/2,z'
'y+3/4,x+1/4,-z+3/4'
'-y+3/4,-x+1/4,z+3/4'
loop_
_atom_site_label
_atom_site_type_symbol
_atom_site_fract_x
_atom_site_fract_y
_atom_site_fract_z
Pm1 Pm 0.000 0.250 0.375
Cd1 Cd 0.000 0.250 0.875
Cd2 Cd 0.121 0.052 0.678
Pd1 Pd 0.000 0.000 0.000
```

Most intense lines, 2θ = 10–90°, by angle:
29.9°, d 2.986, intensity 29, (3 2 1)
33.9°, d 2.644, intensity 100, (3 1 2)
34.2°, d 2.621, intensity 64, (4 2 0)
36.6°, d 2.458, intensity 32, (1 0 3)
39.8°, d 2.267, intensity 25, (2 1 3)
40.3°, d 2.239, intensity 86, (5 0 1)
42.0°, d 2.152, intensity 34, (4 2 2)
61.1°, d 1.518, intensity 29, (5 5 2)

---

Diffraction record for Ag2P3Pt9. The powder X-ray diffraction pattern is calculated, not measured: it uses a cell relaxed with GGA-PBE and Cu Kα.
No peak broadening, texture or thermal motion is included.

Crystal structure
```
data_Ag2P3Pt9
_chemical_formula_sum 'Ag4 P6 Pt18'
_cell_length_a 7.576
_cell_length_b 7.608
_cell_length_c 9.258
_cell_angle_alpha 68.54
_cell_angle_beta 68.74
_cell_angle_gamma 66.71
_space_group_name_H-M_alt 'P -1'
_space_group_IT_number 2
loop_
_space_group_symop_operation_xyz
'x,y,z'
'-x,-y,-z'
loop_
_atom_site_label
_atom_site_type_symbol
_atom_site_fract_x
_atom_site_fract_y
_atom_site_fract_z
Ag1 Ag 0.084 0.257 0.238
Ag2 Ag 0.258 0.083 0.739
P1 P 0.000 0.500 0.500
P2 P 0.130 0.725 0.987
P3 P 0.277 0.873 0.509
P4 P 0.500 0.000 0.000
Pt1 Pt 0.019 0.848 0.432
Pt2 Pt 0.150 0.979 0.070
Pt3 Pt 0.156 0.370 0.905
Pt4 Pt 0.213 0.562 0.235
Pt5 Pt 0.298 0.471 0.544
Pt6 Pt 0.346 0.653 0.749
Pt7 Pt 0.371 0.158 0.405
Pt8 Pt 0.438 0.785 0.264
Pt9 Pt 0.471 0.297 0.044
```

Most intense lines, 2θ = 10–90°, by angle:
31.7°, d 2.824, intensity 28, (2 1 -1)
37.7°, d 2.388, intensity 27, (3 2 1)
38.7°, d 2.329, intensity 54, (0 3 1)
38.9°, d 2.317, intensity 100, (3 0 1)
39.0°, d 2.309, intensity 49, (1 -1 3)
39.9°, d 2.258, intensity 72, (2 1 -2)
42.8°, d 2.113, intensity 42, (3 3 2)
43.4°, d 2.086, intensity 38, (2 -2 0)